For Na5LiFe2P2C2O14, the GGA+U geometry in Alexandria gives the calculated PXRD pattern in this record (copper Kα).
Intensities are scaled so that the largest is 100.

The 10 most intense peaks (10° ≤ 2θ ≤ 90°), most intense first:
- d = 3.322 Å, I = 100, hkl 2 0 0
- d = 2.626 Å, I = 89, hkl 0 0 4
- d = 2.703 Å, I = 44, hkl 2 -2 0
- d = 4.561 Å, I = 33, hkl 0 1 -2
- d = 4.494 Å, I = 31, hkl 0 1 2
- d = 3.430 Å, I = 31, hkl 0 2 -2
- d = 1.661 Å, I = 27, hkl 4 0 0
- d = 2.976 Å, I = 25, hkl 0 3 0
- d = 2.608 Å, I = 25, hkl 0 3 -2
- d = 1.879 Å, I = 22, hkl 2 -4 0

Cell lengths 6.647, 8.935, 10.505 Å; angles 90.96, 90.27, 91.76 degrees
Space group P-1 (No. 2)
Unique sites:
Na1 0.002 0.261 0.123 (multiplicity 2)
Na2 0.011 0.740 0.374 (multiplicity 2)
Na3 0.255 0.085 0.867 (multiplicity 2)
Na4 0.269 0.080 0.375 (multiplicity 2)
Na5 0.493 0.263 0.128 (multiplicity 2)
Li1 0.451 0.299 0.646 (multiplicity 2)
Fe1 0.247 0.654 0.638 (multiplicity 2)
Fe2 0.261 0.648 0.143 (multiplicity 2)
P1 0.243 0.418 0.893 (multiplicity 2)
P2 0.262 0.417 0.402 (multiplicity 2)
C1 0.253 0.954 0.618 (multiplicity 2)
C2 0.255 0.941 0.111 (multiplicity 2)
O1 0.051 0.322 0.858 (multiplicity 2)
O2 0.067 0.327 0.359 (multiplicity 2)
O3 0.237 0.874 0.514 (multiplicity 2)
O4 0.239 0.084 0.096 (multiplicity 2)
O5 0.243 0.572 0.829 (multiplicity 2)
O6 0.256 0.884 0.727 (multiplicity 2)
O7 0.257 0.438 0.041 (multiplicity 2)
O8 0.257 0.884 0.224 (multiplicity 2)
O9 0.262 0.435 0.550 (multiplicity 2)
O10 0.267 0.099 0.615 (multiplicity 2)
O11 0.269 0.852 0.012 (multiplicity 2)
O12 0.279 0.574 0.341 (multiplicity 2)
O13 0.423 0.324 0.844 (multiplicity 2)
O14 0.440 0.317 0.360 (multiplicity 2)